1.
Starting from a GGA-PBE-relaxed structure, the powder diffractogram of In2CuIr2 was calculated for a wavelength of 1.5418 Å.
Intensities are scaled so that the largest is 100.

The 10 most intense peaks (2θ from 5° to 70°), low angle first:
d = 5.277 Å, 2θ = 16.80°, I 23; d = 3.337 Å, 2θ = 26.71°, I 7; d = 2.360 Å, 2θ = 38.14°, I 40; d = 2.314 Å, 2θ = 38.93°, I 100; d = 1.901 Å, 2θ = 47.84°, I 7; d = 1.866 Å, 2θ = 48.82°, I 11; d = 1.759 Å, 2θ = 51.99°, I 10; d = 1.740 Å, 2θ = 52.61°, I 9; d = 1.605 Å, 2θ = 57.41°, I 9; d = 1.577 Å, 2θ = 58.55°, I 9

Structure:
abc: 7.4623 7.4623 3.2104
angles: 90.00 90.00 90.00
Fractional coordinates of all 10 atoms:
In  0.1635  0.3365  0.0000
In  0.3365  0.8365  0.0000
In  0.6635  0.1635  0.0000
In  0.8365  0.6635  0.0000
Cu  0.0000  0.0000  0.5000
Cu  0.5000  0.5000  0.5000
Ir  0.1366  0.6366  0.5000
Ir  0.3634  0.1366  0.5000
Ir  0.6366  0.8634  0.5000
Ir  0.8634  0.3634  0.5000

***

2.
Starting from a GGA-PBE-relaxed structure, the powder diffractogram of KPrSe2O8 was calculated for a wavelength of 1.5418 Å.
Intensities are scaled so that the largest is 100.

The 10 most intense peaks (2θ from 5° to 70°), low angle first:
d = 9.024 Å, 2θ = 9.80°, I 97; d = 3.570 Å, 2θ = 24.94°, I 56; d = 3.317 Å, 2θ = 26.88°, I 100; d = 3.223 Å, 2θ = 27.68°, I 27; d = 3.147 Å, 2θ = 28.36°, I 77; d = 2.808 Å, 2θ = 31.87°, I 33; d = 2.160 Å, 2θ = 41.82°, I 27; d = 2.018 Å, 2θ = 44.93°, I 31; d = 1.894 Å, 2θ = 48.03°, I 24; d = 1.888 Å, 2θ = 48.20°, I 26

Structure:
abc: 9.0279 7.4926 11.2401
angles: 90.00 91.69 90.00
Fractional coordinates of all 48 atoms:
K  0.0631  0.1457  0.3433
K  0.0631  0.3543  0.8433
K  0.9369  0.6457  0.1567
K  0.9369  0.8543  0.6567
Pr  0.4439  0.6656  0.6517
Pr  0.4439  0.8344  0.1517
Pr  0.5561  0.1656  0.8483
Pr  0.5561  0.3344  0.3483
Se  0.2221  0.6578  0.4102
Se  0.2221  0.8422  0.9102
Se  0.3128  0.1641  0.6077
Se  0.3128  0.3359  0.1077
Se  0.6872  0.6641  0.8923
Se  0.6872  0.8359  0.3923
Se  0.7779  0.1578  0.0898
Se  0.7779  0.3422  0.5898
O  0.0920  0.5205  0.3628
O  0.0920  0.9795  0.8628
O  0.1315  0.1476  0.6019
O  0.1315  0.3524  0.1019
O  0.1973  0.7474  0.0438
O  0.1973  0.7526  0.5438
O  0.2538  0.6822  0.8090
O  0.2538  0.8178  0.3090
O  0.3658  0.1599  0.1953
O  0.3658  0.3401  0.6953
O  0.3793  0.1683  0.4711
O  0.3793  0.3317  0.9711
O  0.3834  0.5491  0.4448
O  0.3834  0.9509  0.9448
O  0.4006  0.5007  0.1870
O  0.4006  0.9993  0.6870
O  0.5994  0.0007  0.3130
O  0.5994  0.4993  0.8130
O  0.6166  0.0491  0.0552
O  0.6166  0.4509  0.5552
O  0.6207  0.6683  0.0289
O  0.6207  0.8317  0.5289
O  0.6342  0.6599  0.3047
O  0.6342  0.8401  0.8047
O  0.7462  0.1822  0.6910
O  0.7462  0.3178  0.1910
O  0.8027  0.2474  0.4562
O  0.8027  0.2526  0.9562
O  0.8685  0.6476  0.8981
O  0.8685  0.8524  0.3981
O  0.9080  0.0205  0.1372
O  0.9080  0.4795  0.6372

***

3.
Starting from a GGA-PBE-relaxed structure, the powder diffractogram of Cs3Mn2I9 was calculated for a wavelength of 1.5418 Å.
Intensities are scaled so that the largest is 100.

The 10 most intense peaks (2θ from 5° to 70°), low angle first:
d = 8.211 Å, 2θ = 10.77°, I 9; d = 3.735 Å, 2θ = 23.82°, I 24; d = 3.483 Å, 2θ = 25.57°, I 17; d = 3.157 Å, 2θ = 28.27°, I 100; d = 2.548 Å, 2θ = 35.23°, I 21; d = 2.026 Å, 2θ = 44.74°, I 16; d = 2.011 Å, 2θ = 45.08°, I 23; d = 1.771 Å, 2θ = 51.62°, I 17; d = 1.741 Å, 2θ = 52.57°, I 5; d = 1.696 Å, 2θ = 54.06°, I 16

Structure:
abc: 10.9783 10.9783 10.9783
angles: 78.78 78.78 78.78
Fractional coordinates of all 28 atoms:
Cs  0.0869  0.7500  0.4131
Cs  0.2500  0.5869  0.9131
Cs  0.4131  0.0869  0.7500
Cs  0.5869  0.9131  0.2500
Cs  0.7500  0.4131  0.0869
Cs  0.9131  0.2500  0.5869
Mn  0.1666  0.1666  0.1666
Mn  0.3334  0.3334  0.3334
Mn  0.6666  0.6666  0.6666
Mn  0.8334  0.8334  0.8334
I  0.0654  0.8962  0.7318
I  0.0921  0.4080  0.2500
I  0.1038  0.2682  0.9346
I  0.2318  0.3962  0.5654
I  0.2500  0.0921  0.4080
I  0.2682  0.9346  0.1038
I  0.3962  0.5654  0.2318
I  0.4080  0.2500  0.0921
I  0.4346  0.7682  0.6038
I  0.5654  0.2318  0.3962
I  0.5921  0.7500  0.9080
I  0.6038  0.4346  0.7682
I  0.7318  0.0654  0.8962
I  0.7500  0.9080  0.5920
I  0.7682  0.6038  0.4346
I  0.8962  0.7318  0.0654
I  0.9080  0.5920  0.7500
I  0.9346  0.1038  0.2682

***

4.
Starting from a GGA-PBE-relaxed structure, the powder diffractogram of CuPd2Au9 was calculated for a wavelength of 1.5418 Å.
Intensities are scaled so that the largest is 100.

The 10 most intense peaks (2θ from 5° to 70°), low angle first:
d = 4.636 Å, 2θ = 19.15°, I 32; d = 2.959 Å, 2θ = 30.20°, I 23; d = 2.900 Å, 2θ = 30.84°, I 34; d = 2.457 Å, 2θ = 36.57°, I 40; d = 2.389 Å, 2θ = 37.66°, I 45; d = 2.322 Å, 2θ = 38.79°, I 100; d = 2.299 Å, 2θ = 39.19°, I 27; d = 2.263 Å, 2θ = 39.84°, I 50; d = 2.170 Å, 2θ = 41.62°, I 27; d = 2.131 Å, 2θ = 42.42°, I 57

Structure:
abc: 5.5699 6.5920 7.4726
angles: 111.06 107.19 101.03
Fractional coordinates of all 12 atoms:
Cu  0.0000  0.0000  0.0000
Pd  0.2972  0.3819  0.0610
Pd  0.7028  0.6181  0.9390
Au  0.0000  0.5000  0.5000
Au  0.1672  0.7634  0.3015
Au  0.2384  0.7110  0.9258
Au  0.2905  0.2099  0.6296
Au  0.4857  0.1509  0.2944
Au  0.5143  0.8491  0.7056
Au  0.7095  0.7901  0.3704
Au  0.7616  0.2890  0.0742
Au  0.8328  0.2366  0.6985

***

5.
Starting from a GGA-PBE-relaxed structure, the powder diffractogram of Mn2ZnTc2 was calculated for a wavelength of 1.5418 Å.
Intensities are scaled so that the largest is 100.

The 10 most intense peaks (2θ from 5° to 70°), low angle first:
d = 3.166 Å, 2θ = 28.19°, I 17; d = 2.503 Å, 2θ = 35.88°, I 12; d = 2.238 Å, 2θ = 40.29°, I 64; d = 2.149 Å, 2θ = 42.04°, I 32; d = 2.057 Å, 2θ = 44.03°, I 100; d = 1.717 Å, 2θ = 53.36°, I 12; d = 1.668 Å, 2θ = 55.04°, I 8; d = 1.450 Å, 2θ = 64.26°, I 13; d = 1.420 Å, 2θ = 65.76°, I 13; d = 1.353 Å, 2θ = 69.49°, I 8

Structure:
abc: 7.0787 7.0787 2.7052
angles: 90.00 90.00 90.00
Fractional coordinates of all 10 atoms:
Mn  0.1252  0.3748  0.0000
Mn  0.3748  0.8748  0.0000
Mn  0.6252  0.1252  0.0000
Mn  0.8748  0.6252  0.0000
Zn  0.0000  0.0000  0.0000
Zn  0.5000  0.5000  0.0000
Tc  0.1660  0.6660  0.5000
Tc  0.3340  0.1660  0.5000
Tc  0.6660  0.8340  0.5000
Tc  0.8340  0.3340  0.5000

***

6.
Starting from a GGA-PBE-relaxed structure, the powder diffractogram of Cs4VSe4 was calculated for a wavelength of 1.5418 Å.
Intensities are scaled so that the largest is 100.

The 10 most intense peaks (2θ from 5° to 70°), low angle first:
d = 3.861 Å, 2θ = 23.03°, I 35; d = 3.560 Å, 2θ = 25.01°, I 61; d = 3.541 Å, 2θ = 25.15°, I 100; d = 2.925 Å, 2θ = 30.57°, I 48; d = 2.902 Å, 2θ = 30.81°, I 56; d = 2.593 Å, 2θ = 34.59°, I 23; d = 2.506 Å, 2θ = 35.83°, I 63; d = 2.244 Å, 2θ = 40.18°, I 30; d = 1.772 Å, 2θ = 51.57°, I 24; d = 1.676 Å, 2θ = 54.78°, I 27

Structure:
abc: 10.0161 10.0161 7.6177
angles: 90.00 90.00 90.00
Fractional coordinates of all 18 atoms:
Cs  0.0282  0.2500  0.0983
Cs  0.2500  0.0282  0.5983
Cs  0.2500  0.4718  0.5983
Cs  0.4718  0.2500  0.0983
Cs  0.5282  0.7500  0.9017
Cs  0.7500  0.5282  0.4017
Cs  0.7500  0.9718  0.4017
Cs  0.9718  0.7500  0.9017
V  0.2500  0.7500  0.2500
V  0.7500  0.2500  0.7500
Se  0.0523  0.7500  0.4220
Se  0.2500  0.5523  0.0780
Se  0.2500  0.9477  0.0780
Se  0.4477  0.7500  0.4220
Se  0.5523  0.2500  0.5780
Se  0.7500  0.0523  0.9220
Se  0.7500  0.4477  0.9220
Se  0.9477  0.2500  0.5780

***

7.
Starting from a GGA-PBE-relaxed structure, the powder diffractogram of PrGa2Br5 was calculated for a wavelength of 1.5418 Å.
Intensities are scaled so that the largest is 100.

The 10 most intense peaks (2θ from 5° to 70°), low angle first:
d = 7.145 Å, 2θ = 12.39°, I 97; d = 5.221 Å, 2θ = 16.98°, I 77; d = 3.476 Å, 2θ = 25.63°, I 91; d = 3.385 Å, 2θ = 26.33°, I 89; d = 3.267 Å, 2θ = 27.30°, I 79; d = 2.699 Å, 2θ = 33.19°, I 80; d = 2.686 Å, 2θ = 33.35°, I 77; d = 2.570 Å, 2θ = 34.91°, I 80; d = 2.228 Å, 2θ = 40.50°, I 100; d = 2.110 Å, 2θ = 42.86°, I 52

Structure:
abc: 8.7583 8.7583 10.9667
angles: 111.35 111.35 53.39
Fractional coordinates of all 16 atoms:
Pr  0.0003  0.9997  0.0000
Pr  0.9997  0.0003  0.5000
Ga  0.3551  0.4072  0.7846
Ga  0.4072  0.3551  0.2846
Ga  0.5925  0.6465  0.7156
Ga  0.6465  0.5925  0.2156
Br  0.0267  0.3374  0.1472
Br  0.1519  0.8480  0.2501
Br  0.2371  0.6021  0.5416
Br  0.3374  0.0267  0.6472
Br  0.3987  0.7628  0.9588
Br  0.6021  0.2371  0.0416
Br  0.6619  0.9744  0.3527
Br  0.7628  0.3987  0.4588
Br  0.8480  0.1519  0.7501
Br  0.9744  0.6619  0.8527

***

8.
Starting from a GGA-PBE-relaxed structure, the powder diffractogram of Dy5Ho3Co2 was calculated for a wavelength of 1.5418 Å.
Intensities are scaled so that the largest is 100.

The 10 most intense peaks (2θ from 5° to 70°), low angle first:
d = 3.046 Å, 2θ = 29.32°, I 99; d = 2.971 Å, 2θ = 30.08°, I 92; d = 2.644 Å, 2θ = 33.90°, I 100; d = 2.531 Å, 2θ = 35.47°, I 44; d = 1.907 Å, 2θ = 47.69°, I 19; d = 1.834 Å, 2θ = 49.70°, I 17; d = 1.828 Å, 2θ = 49.88°, I 66; d = 1.605 Å, 2θ = 57.42°, I 30; d = 1.572 Å, 2θ = 58.75°, I 29; d = 1.523 Å, 2θ = 60.82°, I 18

Structure:
abc: 9.6961 9.6961 9.6961
angles: 117.06 81.64 133.67
Fractional coordinates of all 20 atoms:
Dy  0.0034  0.2500  0.7534
Dy  0.1229  0.2433  0.3663
Dy  0.2500  0.2500  0.0000
Dy  0.3771  0.7433  0.1204
Dy  0.4966  0.2500  0.2466
Dy  0.5034  0.7500  0.7534
Dy  0.6229  0.2567  0.8796
Dy  0.7500  0.7500  0.0000
Dy  0.8771  0.7567  0.6337
Dy  0.9966  0.7500  0.2466
Ho  0.1241  0.7564  0.8805
Ho  0.2500  0.7500  0.5000
Ho  0.3759  0.2564  0.6323
Ho  0.6241  0.7436  0.3677
Ho  0.7500  0.2500  0.5000
Ho  0.8759  0.2436  0.1195
Co  0.1299  0.5000  0.6299
Co  0.3701  0.0000  0.3702
Co  0.6299  0.0000  0.6298
Co  0.8701  0.5000  0.3701

***

> Which formula does entry 4 have?

CuPd2Au9

***

Copy entry 5 word for word.
Starting from a GGA-PBE-relaxed structure, the powder diffractogram of Mn2ZnTc2 was calculated for a wavelength of 1.5418 Å.
Intensities are scaled so that the largest is 100.

The 10 most intense peaks (2θ from 5° to 70°), low angle first:
d = 3.166 Å, 2θ = 28.19°, I 17; d = 2.503 Å, 2θ = 35.88°, I 12; d = 2.238 Å, 2θ = 40.29°, I 64; d = 2.149 Å, 2θ = 42.04°, I 32; d = 2.057 Å, 2θ = 44.03°, I 100; d = 1.717 Å, 2θ = 53.36°, I 12; d = 1.668 Å, 2θ = 55.04°, I 8; d = 1.450 Å, 2θ = 64.26°, I 13; d = 1.420 Å, 2θ = 65.76°, I 13; d = 1.353 Å, 2θ = 69.49°, I 8

Structure:
abc: 7.0787 7.0787 2.7052
angles: 90.00 90.00 90.00
Fractional coordinates of all 10 atoms:
Mn  0.1252  0.3748  0.0000
Mn  0.3748  0.8748  0.0000
Mn  0.6252  0.1252  0.0000
Mn  0.8748  0.6252  0.0000
Zn  0.0000  0.0000  0.0000
Zn  0.5000  0.5000  0.0000
Tc  0.1660  0.6660  0.5000
Tc  0.3340  0.1660  0.5000
Tc  0.6660  0.8340  0.5000
Tc  0.8340  0.3340  0.5000